[1]
For PrV2O2, DFT lattice parameters and positions (GGA+U) gives the simulated powder X-ray diffraction pattern in this record (Cu Ka).
Intensities are scaled so that the largest is 100.

Principal peaks in the range 10 to 90 degrees two-theta, by angle:
- 2θ = 13.56°, I 40
- 2θ = 24.32°, I 21
- 2θ = 27.31°, I 59
- 2θ = 28.57°, I 100
- 2θ = 29.44°, I 22
- 2θ = 35.90°, I 57
- 2θ = 40.84°, I 28
- 2θ = 41.48°, I 30
- 2θ = 49.83°, I 36
- 2θ = 52.60°, I 27

Crystal structure
```
data_PrV2O2
_chemical_formula_sum 'Pr8 V16 O16'
_space_group_name_H-M_alt 'I 41/a m d'
_space_group_IT_number 141
_cell_length_a 8.838
_cell_length_b 8.838
_cell_length_c 9.691
_cell_angle_alpha 90.00
_cell_angle_beta 90.00
_cell_angle_gamma 90.00
loop_
_space_group_symop_operation_xyz
'x,y,z'
'-x,-y,-z'
'-y+1/4,x+3/4,z+1/4'
'y+1/4,-x+3/4,-z+1/4'
'-x+1/2,-y,z+1/2'
'x+1/2,y,-z+1/2'
'y+1/4,-x+1/4,z+3/4'
'-y+1/4,x+1/4,-z+3/4'
'x,-y,-z'
'-x,y,z'
'-y+1/4,-x+1/4,-z+3/4'
'y+1/4,x+1/4,z+3/4'
'-x+1/2,y,-z+1/2'
'x+1/2,-y,z+1/2'
'y+1/4,x+3/4,-z+1/4'
'-y+1/4,-x+3/4,z+1/4'
'x+1/2,y+1/2,z+1/2'
'-x+1/2,-y+1/2,-z+1/2'
'-y+3/4,x+1/4,z+3/4'
'y+3/4,-x+1/4,-z+3/4'
'-x,-y+1/2,z'
'x,y+1/2,-z'
'y+3/4,-x+3/4,z+1/4'
'-y+3/4,x+3/4,-z+1/4'
'x+1/2,-y+1/2,-z+1/2'
'-x+1/2,y+1/2,z+1/2'
'-y+3/4,-x+3/4,-z+1/4'
'y+3/4,x+3/4,z+1/4'
'-x,y+1/2,-z'
'x,-y+1/2,z'
'y+3/4,x+1/4,-z+3/4'
'-y+3/4,-x+1/4,z+3/4'
loop_
_atom_site_label
_atom_site_type_symbol
_atom_site_fract_x
_atom_site_fract_y
_atom_site_fract_z
_atom_site_occupancy
Pr1 Pr 0.000 0.000 0.000 1
V1 V 0.000 0.064 0.628 1
O1 O 0.000 0.095 0.222 1
```

***

[2]
For PrVO4, DFT lattice parameters and positions (GGA+U) gives the simulated powder X-ray diffraction pattern in this record (Cu Ka).
Intensities are scaled so that the largest is 100.

Principal peaks in the range 10 to 90 degrees two-theta, by angle:
- 2θ = 18.01°, I 31
- 2θ = 23.78°, I 100
- 2θ = 32.18°, I 67
- 2θ = 33.87°, I 21
- 2θ = 38.63°, I 14
- 2θ = 47.42°, I 58
- 2θ = 48.66°, I 15
- 2θ = 54.86°, I 13
- 2θ = 59.54°, I 17
- 2θ = 70.30°, I 13

Crystal structure
```
data_PrVO4
_chemical_formula_sum 'Pr4 V4 O16'
_space_group_name_H-M_alt 'I 41/a m d'
_space_group_IT_number 141
_cell_length_a 7.485
_cell_length_b 7.485
_cell_length_c 6.539
_cell_angle_alpha 90.00
_cell_angle_beta 90.00
_cell_angle_gamma 90.00
loop_
_space_group_symop_operation_xyz
'x,y,z'
'-x,-y,-z'
'-y+1/4,x+3/4,z+1/4'
'y+1/4,-x+3/4,-z+1/4'
'-x+1/2,-y,z+1/2'
'x+1/2,y,-z+1/2'
'y+1/4,-x+1/4,z+3/4'
'-y+1/4,x+1/4,-z+3/4'
'x,-y,-z'
'-x,y,z'
'-y+1/4,-x+1/4,-z+3/4'
'y+1/4,x+1/4,z+3/4'
'-x+1/2,y,-z+1/2'
'x+1/2,-y,z+1/2'
'y+1/4,x+3/4,-z+1/4'
'-y+1/4,-x+3/4,z+1/4'
'x+1/2,y+1/2,z+1/2'
'-x+1/2,-y+1/2,-z+1/2'
'-y+3/4,x+1/4,z+3/4'
'y+3/4,-x+1/4,-z+3/4'
'-x,-y+1/2,z'
'x,y+1/2,-z'
'y+3/4,-x+3/4,z+1/4'
'-y+3/4,x+3/4,-z+1/4'
'x+1/2,-y+1/2,-z+1/2'
'-x+1/2,y+1/2,z+1/2'
'-y+3/4,-x+3/4,-z+1/4'
'y+3/4,x+3/4,z+1/4'
'-x,y+1/2,-z'
'x,-y+1/2,z'
'y+3/4,x+1/4,-z+3/4'
'-y+3/4,-x+1/4,z+3/4'
loop_
_atom_site_label
_atom_site_type_symbol
_atom_site_fract_x
_atom_site_fract_y
_atom_site_fract_z
_atom_site_occupancy
Pr1 Pr 0.000 0.250 0.375 1
V1 V 0.000 0.250 0.875 1
O1 O 0.000 0.071 0.705 1
```

***

[3]
For PrV2O2, DFT lattice parameters and positions (GGA+U) gives the simulated powder X-ray diffraction pattern in this record (Cu Ka).
Intensities are scaled so that the largest is 100.

Principal peaks in the range 10 to 90 degrees two-theta, by angle:
- 2θ = 13.73°, I 40
- 2θ = 23.72°, I 28
- 2θ = 27.35°, I 100
- 2θ = 27.66°, I 72
- 2θ = 36.51°, I 22
- 2θ = 36.99°, I 55
- 2θ = 39.06°, I 26
- 2θ = 41.59°, I 31
- 2θ = 42.02°, I 35
- 2θ = 48.53°, I 41

Crystal structure
```
data_PrV2O2
_chemical_formula_sum 'Pr8 V16 O16'
_space_group_name_H-M_alt 'I 41/a m d'
_space_group_IT_number 141
_cell_length_a 9.224
_cell_length_b 9.224
_cell_length_c 9.022
_cell_angle_alpha 90.00
_cell_angle_beta 90.00
_cell_angle_gamma 90.00
loop_
_space_group_symop_operation_xyz
'x,y,z'
'-x,-y,-z'
'-y+1/4,x+3/4,z+1/4'
'y+1/4,-x+3/4,-z+1/4'
'-x+1/2,-y,z+1/2'
'x+1/2,y,-z+1/2'
'y+1/4,-x+1/4,z+3/4'
'-y+1/4,x+1/4,-z+3/4'
'x,-y,-z'
'-x,y,z'
'-y+1/4,-x+1/4,-z+3/4'
'y+1/4,x+1/4,z+3/4'
'-x+1/2,y,-z+1/2'
'x+1/2,-y,z+1/2'
'y+1/4,x+3/4,-z+1/4'
'-y+1/4,-x+3/4,z+1/4'
'x+1/2,y+1/2,z+1/2'
'-x+1/2,-y+1/2,-z+1/2'
'-y+3/4,x+1/4,z+3/4'
'y+3/4,-x+1/4,-z+3/4'
'-x,-y+1/2,z'
'x,y+1/2,-z'
'y+3/4,-x+3/4,z+1/4'
'-y+3/4,x+3/4,-z+1/4'
'x+1/2,-y+1/2,-z+1/2'
'-x+1/2,y+1/2,z+1/2'
'-y+3/4,-x+3/4,-z+1/4'
'y+3/4,x+3/4,z+1/4'
'-x,y+1/2,-z'
'x,-y+1/2,z'
'y+3/4,x+1/4,-z+3/4'
'-y+3/4,-x+1/4,z+3/4'
loop_
_atom_site_label
_atom_site_type_symbol
_atom_site_fract_x
_atom_site_fract_y
_atom_site_fract_z
_atom_site_occupancy
Pr1 Pr 0.000 0.000 0.000 1
V1 V 0.000 0.086 0.616 1
O1 O 0.000 0.090 0.239 1
```